Entry 1:
This entry pairs a crystal structure of ThSc2Fe with its computed XRD peak list. Radiation: Cu Kα X-rays. Structure: a structure optimized by DFT (GGA-PBE).
Peak positions follow from Bragg's law for the DFT cell and can differ from measured ones.

Atomic structure:
Unit cell a=6.815 b=8.887 c=5.956 alpha=90.00 beta=90.00 gamma=90.00
Space group Pnma (No. 62)
Symmetry-distinct sites (fractional):
Th  0.052  0.250  0.139
Sc  0.167  0.069  0.665
Fe  0.133  0.750  0.458

Main lines, in order of rising 2θ (2θ = 10–90°):
17.9°, d 4.948, intensity 59
20.0°, d 4.444, intensity 79
31.9°, d 2.806, intensity 49
33.8°, d 2.652, intensity 47
34.4°, d 2.609, intensity 100
36.5°, d 2.462, intensity 38



Entry 2:
This entry pairs a crystal structure of Cs4K5 with its computed XRD peak list. Radiation: Cu Kα X-rays. Structure: a structure optimized by DFT (GGA-PBE).
Peak positions follow from Bragg's law for the DFT cell and can differ from measured ones.

Atomic structure:
Unit cell a=14.891 b=14.891 c=7.340 alpha=90.00 beta=90.00 gamma=90.00
Space group I4/m (No. 87)
Symmetry-distinct sites (fractional):
Cs  0.001  0.681  0.000
K  0.000  0.000  0.000
K  0.159  0.159  0.500

Main lines, in order of rising 2θ (2θ = 10–90°):
18.0°, d 4.932, intensity 23
21.6°, d 4.112, intensity 100
24.3°, d 3.670, intensity 19
25.4°, d 3.510, intensity 32
35.4°, d 2.537, intensity 26
42.5°, d 2.125, intensity 28